For Sr2RuI2, a cell relaxed with GGA-PBE gives the computed X-ray powder pattern in this record (Cu Ka).
Peak positions follow from Bragg's law for the DFT cell and can differ from measured ones.

Cell and atoms:
```
5
Lattice="6.003 0.000 0.000 0.000 6.003 0.000 0.000 0.000 11.177" Properties=species:S:1:pos:R:3 pbc="T T T"
Sr 0.000 0.000 0.000
Sr 0.000 0.000 5.589
Ru 3.002 3.002 0.000
I 0.000 3.002 5.589
I 3.002 0.000 5.589
```

The 8 most intense peaks (2θ from 10° to 80°), in order of rising 2θ:
15.9°, intensity 100.0, (0 0 2)
22.4°, intensity 79.2, (1 1 1)
29.8°, intensity 43.2, (2 0 0)
32.0°, intensity 49.6, (0 0 4)
33.9°, intensity 61.0, (2 0 2)
44.3°, intensity 28.6, (2 0 4)
45.7°, intensity 26.0, (2 2 2)
54.3°, intensity 29.4, (2 2 4)